# CdAgPd5
Calculated powder X-ray diffraction pattern, Cu Kα (λ = 1.5418 Å). Input: a GGA-PBE-relaxed structure.

Peak list (10 most intense, 5° ≤ 2θ ≤ 70°, by intensity)
| 2θ/deg | d/Å | intensity | index |
| --- | --- | --- | --- |
| 40.33 | 2.236 | 100 | 2 0 4 |
| 42.11 | 2.146 | 92 | 4 0 0 |
| 40.20 | 2.243 | 90 | 2 2 1 |
| 61.07 | 1.517 | 28 | 4 2 3 |
| 39.57 | 2.277 | 15 | 1 1 4 |
| 25.79 | 3.454 | 14 | 1 1 2 |
| 55.35 | 1.660 | 13 | 0 2 5 |
| 35.44 | 2.533 | 13 | 3 1 0 |
| 26.85 | 3.321 | 12 | 2 0 2 |
| 19.33 | 4.593 | 8 | 1 1 0 |

Cell and atoms:
```
data_CdAgPd5
_chemical_formula_sum 'Cd4 Ag4 Pd20'
_cell_length_a 8.5870
_cell_length_b 5.4359
_cell_length_c 10.4796
_cell_angle_alpha 90.00
_cell_angle_beta 90.00
_cell_angle_gamma 90.00
_symmetry_space_group_name_H-M 'C m c m'
_symmetry_Int_Tables_number 63
_symmetry_space_group_name_Hall '-C 2c 2'
loop_
_atom_site_label
_atom_site_type_symbol
_atom_site_fract_x
_atom_site_fract_y
_atom_site_fract_z
Cd1 Cd 0.0000 0.0000 0.0000
Ag1 Ag 0.0000 0.3663 0.2500
Pd1 Pd 0.0000 0.1217 0.7500
Pd2 Pd 0.2297 0.3647 0.6167
```

# Th6CoSn3
Calculated powder X-ray diffraction pattern, Cu Kα (λ = 1.5418 Å). Input: a GGA-PBE-relaxed structure.

Peak list (10 most intense, 5° ≤ 2θ ≤ 70°, by intensity)
| 2θ/deg | d/Å | intensity | index |
| --- | --- | --- | --- |
| 31.62 | 2.830 | 100 | 3 3 1 |
| 33.88 | 2.646 | 62 | 0 4 2 |
| 23.68 | 3.758 | 54 | 0 0 2 |
| 33.76 | 2.655 | 40 | 3 1 2 |
| 22.75 | 3.909 | 31 | 2 2 1 |
| 26.56 | 3.356 | 31 | 3 1 1 |
| 46.90 | 1.937 | 28 | 6 0 0 |
| 29.24 | 3.054 | 28 | 3 3 0 |
| 62.02 | 1.496 | 27 | 3 7 3 |
| 43.43 | 2.084 | 26 | 3 1 3 |

Cell and atoms:
```
data_Th6CoSn3
_chemical_formula_sum 'Th24 Co4 Sn12'
_cell_length_a 11.6226
_cell_length_b 14.8953
_cell_length_c 7.5221
_cell_angle_alpha 90.00
_cell_angle_beta 90.00
_cell_angle_gamma 90.00
_symmetry_space_group_name_H-M 'C m c 21'
_symmetry_Int_Tables_number 36
_symmetry_space_group_name_Hall 'C 2c -2'
loop_
_atom_site_label
_atom_site_type_symbol
_atom_site_fract_x
_atom_site_fract_y
_atom_site_fract_z
Th1 Th 0.0000 0.0070 0.0000
Th2 Th 0.0000 0.2364 0.5507
Th3 Th 0.1508 0.4635 0.5620
Th4 Th 0.1582 0.2364 0.0911
Co1 Co 0.0000 0.1362 0.2513
Sn1 Sn 0.0000 0.3781 0.8808
Sn2 Sn 0.1872 0.1071 0.7495
```